For Fe3C9S2O10, a crystal structure in the Materials Project, relaxed with PBE+U gives the simulated X-ray powder pattern in this record (Cu Kα (weighted mean of Kα1 and Kα2)).
No peak broadening, texture or thermal motion is included.

Structural model:
```
48
Lattice="9.109 0.000 0.000 -4.346 8.548 0.000 -0.233 -1.561 10.297" Properties=species:S:1:pos:R:3 pbc="T T T"
Fe -0.822 2.678 2.240
Fe -1.629 5.929 3.113
Fe 0.742 4.815 2.661
Fe 3.788 2.172 7.636
Fe 6.159 1.059 7.184
Fe 5.353 4.310 8.057
C -1.179 1.285 7.222
C -0.262 1.249 3.217
C -0.225 1.952 0.672
C -2.035 4.799 8.199
C -1.498 6.760 4.712
C -1.548 7.499 2.181
C 1.915 3.751 1.832
C 3.207 0.618 8.325
C 2.880 2.015 6.089
C 1.650 4.973 4.208
C 1.323 6.370 1.972
C 2.615 3.237 8.465
C 6.078 -0.512 8.116
C 6.028 0.227 5.585
C 6.565 2.189 2.098
C 4.756 5.036 9.625
C 4.792 5.739 7.080
C 5.709 5.702 3.075
S -0.959 4.036 3.916
S -1.032 4.733 1.244
S 5.563 2.255 9.053
S 5.489 2.952 6.381
O 0.060 0.334 3.842
O -0.111 -0.059 9.965
O -0.032 1.418 7.269
O -0.823 3.681 5.368
O -0.925 5.089 8.308
O -1.405 7.246 5.757
O 2.810 -0.066 1.577
O 2.808 -0.365 8.785
O 2.356 1.895 5.067
O 2.738 3.144 1.285
O 1.792 3.844 9.012
O 2.175 5.092 5.230
O 1.722 7.353 1.512
O 1.720 7.054 8.720
O 5.935 -0.258 4.540
O 5.456 1.898 1.989
O 5.353 3.307 4.929
O 4.563 5.569 3.028
O 4.642 7.047 0.332
O 4.470 6.654 6.455
```

Largest 8 diffraction maxima, by angle, 10° ≤ 2θ ≤ 80°:
2θ (°)	intensity	index
10.47	82	0 1 0
11.14	32	1 -1 0
13.31	73	1 0 -1
13.70	68	1 -1 1
14.50	100	1 0 1
17.22	51	0 0 2
29.80	37	3 -1 0
31.26	37	1 -3 2